Diffraction record for K3Zr2NF12. The X-ray diffraction stick pattern is calculated, not measured: it uses a DFT-relaxed cell (PBE, the Materials Project) and Cu Kα (weighted mean of Kα1 and Kα2).

Cell and atoms:
a = 12.925 Å, b = 8.202 Å, c = 13.074 Å
α = 90.00°, β = 118.38°, γ = 90.00°
Space group C2/m (No. 12)
Symmetry-distinct sites (fractional):
K  0.148  0.000  0.338 x4
K  0.155  0.500  0.355 x4
K  0.180  0.000  0.811 x4
Zr  0.000  0.211  0.000 x4
Zr  0.000  0.256  0.500 x4
N  0.128  0.500  0.849 x4
F  0.014  0.193  0.658 x8
F  0.017  0.500  0.596 x4
F  0.082  0.000  0.107 x4
F  0.107  0.000  0.545 x4
F  0.109  0.337  0.141 x8
F  0.117  0.175  0.944 x8
F  0.130  0.500  0.954 x4
F  0.173  0.309  0.556 x8

Most intense lines, 2θ = 10–90°, in order of rising 2θ:
d = 5.751 Å, 2θ 15.41, intensity 100, (0 0 2); d = 5.686 Å, 2θ 15.58, intensity 87, (2 0 0); d = 5.582 Å, 2θ 15.88, intensity 46, (2 0 -2); d = 3.335 Å, 2θ 26.73, intensity 94, (2 0 2); d = 3.326 Å, 2θ 26.80, intensity 56, (2 2 0); d = 3.305 Å, 2θ 26.98, intensity 59, (2 2 -2)

---

Diffraction record for La6NbGa11O28. The X-ray diffraction stick pattern is calculated, not measured: it uses a DFT-relaxed cell (PBE, the Materials Project) and Cu Kα (weighted mean of Kα1 and Kα2).

Cell and atoms:
a = 8.482 Å, b = 9.698 Å, c = 9.713 Å
α = 64.77°, β = 65.34°, γ = 64.23°
Space group P1 (No. 1)
Symmetry-distinct sites (fractional):
La  0.000  0.000  0.000 x1
La  0.003  0.519  0.500 x1
La  0.410  0.224  0.225 x1
La  0.435  0.731  0.704 x1
La  0.540  0.924  0.948 x1
La  0.570  0.433  0.438 x1
Nb  0.993  0.735  0.723 x1
Ga  0.004  0.201  0.197 x1
Ga  0.061  0.086  0.507 x1
Ga  0.245  0.344  0.865 x1
Ga  0.273  0.815  0.328 x1
Ga  0.321  0.165  0.623 x1
Ga  0.395  0.624  0.125 x1
Ga  0.637  0.323  0.823 x1
Ga  0.651  0.795  0.317 x1
Ga  0.748  0.460  0.943 x1
Ga  0.752  0.997  0.460 x1
Ga  0.929  0.549  0.111 x1
O  0.088  0.734  0.495 x1
O  0.109  0.903  0.674 x1
O  0.139  0.370  0.120 x1
O  0.142  0.176  0.989 x1
O  0.156  0.228  0.503 x1
O  0.207  0.819  0.145 x1
O  0.209  0.038  0.306 x1
O  0.213  0.571  0.799 x1
O  0.283  0.357  0.649 x1
O  0.320  0.469  0.303 x1
O  0.328  0.977  0.782 x1
O  0.435  0.741  0.460 x1
O  0.488  0.209  0.875 x1
O  0.511  0.692  0.211 x1
O  0.517  0.416  0.997 x1
O  0.532  0.166  0.450 x1
O  0.559  0.679  0.921 x1
O  0.636  0.975  0.142 x1
O  0.665  0.470  0.626 x1
O  0.697  0.814  0.484 x1
O  0.770  0.919  0.676 x1
O  0.798  0.416  0.133 x1
O  0.850  0.604  0.295 x1
O  0.852  0.262  0.872 x1
O  0.859  0.204  0.432 x1
O  0.871  0.740  0.952 x1
O  0.879  0.055  0.243 x1
O  0.906  0.560  0.758 x1

Most intense lines, 2θ = 10–90°, in order of rising 2θ:
d = 3.265 Å, 2θ 27.32, intensity 84, (2 0 2); d = 3.217 Å, 2θ 27.73, intensity 100, (1 -2 0); d = 3.021 Å, 2θ 29.57, intensity 69, (2 1 -1); d = 2.977 Å, 2θ 30.01, intensity 49, (2 3 1); d = 2.940 Å, 2θ 30.40, intensity 55, (0 1 3); d = 2.599 Å, 2θ 34.51, intensity 64, (0 2 -2)

---

Diffraction record for Sr3Mo. The X-ray diffraction stick pattern is calculated, not measured: it uses a DFT-relaxed cell (PBE, the Materials Project) and Cu Kα (weighted mean of Kα1 and Kα2).

Cell and atoms:
a = 8.478 Å, b = 8.478 Å, c = 8.478 Å
α = 90.00°, β = 90.00°, γ = 90.00°
Space group Fm-3m (No. 225)
Symmetry-distinct sites (fractional):
Sr  0.000  0.000  0.000 x4
Sr  0.250  0.250  0.250 x8
Mo  0.000  0.000  0.500 x4

Most intense lines, 2θ = 10–90°, in order of rising 2θ:
d = 2.997 Å, 2θ 29.81, intensity 100, (2 2 0); d = 2.119 Å, 2θ 42.66, intensity 18, (4 0 0); d = 1.731 Å, 2θ 52.91, intensity 39, (4 2 2); d = 1.499 Å, 2θ 61.91, intensity 12, (4 4 0); d = 1.340 Å, 2θ 70.21, intensity 17, (6 2 0); d = 1.133 Å, 2θ 85.76, intensity 20, (6 4 2)

---

Diffraction record for CeYCu4. The X-ray diffraction stick pattern is calculated, not measured: it uses a DFT-relaxed cell (PBE, the Materials Project) and Cu Kα (weighted mean of Kα1 and Kα2).

Cell and atoms:
a = 4.307 Å, b = 6.886 Å, c = 7.372 Å
α = 90.00°, β = 90.00°, γ = 90.00°
Space group Imm2 (No. 44)
Symmetry-distinct sites (fractional):
Ce  0.000  0.000  0.000 x2
Y  0.000  0.500  0.923 x2
Cu  0.000  0.200  0.625 x4
Cu  0.000  0.300  0.294 x4

Most intense lines, 2θ = 10–90°, in order of rising 2θ:
d = 2.594 Å, 2θ 34.58, intensity 33, (1 1 2); d = 2.526 Å, 2θ 35.53, intensity 100, (1 2 1); d = 2.516 Å, 2θ 35.68, intensity 43, (0 2 2); d = 2.154 Å, 2θ 41.95, intensity 35, (2 0 0); d = 2.134 Å, 2θ 42.35, intensity 54, (1 0 3); d = 1.636 Å, 2θ 56.22, intensity 22, (2 2 2)

---

Diffraction record for CaBiO3. The X-ray diffraction stick pattern is calculated, not measured: it uses a DFT-relaxed cell (PBE, the Materials Project) and Cu Kα (weighted mean of Kα1 and Kα2).

Cell and atoms:
a = 6.037 Å, b = 8.734 Å, c = 5.832 Å
α = 90.00°, β = 90.00°, γ = 90.00°
Space group Pnma (No. 62)
Symmetry-distinct sites (fractional):
Ca  0.000  0.000  0.000 x4
Bi  0.029  0.250  0.493 x4
O  0.110  0.750  0.165 x4
O  0.170  0.584  0.667 x8

Most intense lines, 2θ = 10–90°, in order of rising 2θ:
d = 4.367 Å, 2θ 20.33, intensity 24, (0 2 0); d = 4.195 Å, 2θ 21.18, intensity 42, (1 0 1); d = 3.024 Å, 2θ 29.54, intensity 100, (1 2 1); d = 2.916 Å, 2θ 30.66, intensity 17, (0 0 2); d = 2.097 Å, 2θ 43.14, intensity 18, (2 0 2); d = 1.704 Å, 2θ 53.81, intensity 21, (1 2 3)

---

Diffraction record for TcW2C. The X-ray diffraction stick pattern is calculated, not measured: it uses a DFT-relaxed cell (PBE, the Materials Project) and Cu Kα (weighted mean of Kα1 and Kα2).

Cell and atoms:
a = 2.9882 Å, b = 2.9882 Å, c = 13.8500 Å
α = 90.00°, β = 90.00°, γ = 120.00°
Space group P3m1 (No. 156)
Symmetry-distinct sites (fractional):
Tc  0.0000  0.0000  0.0000 x1
Tc  0.0000  0.0000  0.3197 x1
W  0.0000  0.0000  0.6570 x1
W  0.6667  0.3333  0.1668 x1
W  0.6667  0.3333  0.4791 x1
W  0.6667  0.3333  0.8252 x1
C  0.3333  0.6667  0.5685 x1
C  0.3333  0.6667  0.9157 x1

Most intense lines, 2θ = 10–90°, in order of rising 2θ:
d = 2.588 Å, 2θ 34.66, intensity 25, (1 0 0); d = 2.308 Å, 2θ 39.02, intensity 21, (0 0 6); d = 2.257 Å, 2θ 39.94, intensity 100, (1 0 3); d = 1.723 Å, 2θ 53.17, intensity 16, (0 1 6); d = 1.494 Å, 2θ 62.13, intensity 19, (1 1 0); d = 1.254 Å, 2θ 75.85, intensity 18, (1 1 6)

---

Diffraction record for ZrAlPt. The X-ray diffraction stick pattern is calculated, not measured: it uses a DFT-relaxed cell (PBE, the Materials Project) and Cu Kα (weighted mean of Kα1 and Kα2).

Cell and atoms:
a = 7.1568 Å, b = 7.1568 Å, c = 3.6629 Å
α = 90.00°, β = 90.00°, γ = 120.00°
Space group P-62m (No. 189)
Symmetry-distinct sites (fractional):
Zr  0.0000  0.4013  0.0000 x3
Al  0.0000  0.7430  0.5000 x3
Pt  0.0000  0.0000  0.0000 x1
Pt  0.3333  0.6667  0.5000 x2

Most intense lines, 2θ = 10–90°, in order of rising 2θ:
d = 3.578 Å, 2θ 24.88, intensity 93, (1 1 0); d = 3.153 Å, 2θ 28.30, intensity 61, (1 0 1); d = 2.560 Å, 2θ 35.06, intensity 57, (1 1 1); d = 2.366 Å, 2θ 38.03, intensity 100, (2 0 1); d = 2.066 Å, 2θ 43.82, intensity 60, (3 0 0); d = 1.974 Å, 2θ 45.99, intensity 58, (2 1 1)